Record 1
The following is a calculated X-ray diffraction stick pattern of Mn3SiRu4. It was derived from a structure optimized by DFT (PBE), using Cu Ka.

Cell and atoms:
```
data_Mn3SiRu4
_chemical_formula_sum 'Mn3 Si1 Ru4'
_space_group_name_H-M_alt 'P 1'
_space_group_IT_number 1
_cell_length_a 2.975
_cell_length_b 4.228
_cell_length_c 8.431
_cell_angle_alpha 90.00
_cell_angle_beta 90.00
_cell_angle_gamma 90.00
loop_
_space_group_symop_operation_xyz
'x,y,z'
loop_
_atom_site_label
_atom_site_fract_x
_atom_site_fract_y
_atom_site_fract_z
Mn1 0.000 0.000 0.000
Mn2 0.000 0.500 0.249
Mn3 0.000 0.500 0.751
Si1 0.000 0.000 0.500
Ru1 0.500 0.000 0.258
Ru2 0.500 0.000 0.742
Ru3 0.500 0.500 0.000
Ru4 0.500 0.500 0.500
```

Principal peaks in the range 10 to 80 degrees two-theta, in order of rising 2θ:
2θ (°)  intensity
29.93  14
30.04  7
42.78  20
42.92  100
62.20  13
62.43  6
78.45  13
78.63  19

***

Record 2
The following is a calculated X-ray diffraction stick pattern of Cr2Ni7Ru2. It was derived from a structure optimized by DFT (PBE), using Cu Ka.

Cell and atoms:
```
data_Cr2Ni7Ru2
_chemical_formula_sum 'Cr2 Ni7 Ru2'
_space_group_name_H-M_alt 'P 1'
_space_group_IT_number 1
_cell_length_a 5.058
_cell_length_b 5.058
_cell_length_c 5.605
_cell_angle_alpha 105.05
_cell_angle_beta 105.05
_cell_angle_gamma 84.29
loop_
_space_group_symop_operation_xyz
'x,y,z'
loop_
_atom_site_label
_atom_site_fract_x
_atom_site_fract_y
_atom_site_fract_z
Cr1 0.079 0.079 0.297
Cr2 0.921 0.921 0.703
Ni1 0.027 0.616 0.341
Ni2 0.252 0.252 0.033
Ni3 0.384 0.973 0.659
Ni4 0.500 0.500 0.500
Ni5 0.616 0.027 0.341
Ni6 0.748 0.748 0.967
Ni7 0.973 0.384 0.659
Ru1 0.273 0.727 0.000
Ru2 0.727 0.273 0.000
```

Principal peaks in the range 10 to 80 degrees two-theta, in order of rising 2θ:
2θ (°)  intensity
34.77  19
36.63  22
43.68  32
44.09  65
44.58  100
48.56  29
52.27  21
54.04  19

***

Record 3
The following is a calculated X-ray diffraction stick pattern of Tb8MgCd2. It was derived from a structure optimized by DFT (PBE), using Cu Ka.

Cell and atoms:
```
data_Tb8MgCd2
_chemical_formula_sum 'Tb8 Mg1 Cd2'
_space_group_name_H-M_alt 'P 1'
_space_group_IT_number 1
_cell_length_a 9.378
_cell_length_b 9.378
_cell_length_c 7.179
_cell_angle_alpha 106.60
_cell_angle_beta 106.60
_cell_angle_gamma 32.82
loop_
_space_group_symop_operation_xyz
'x,y,z'
loop_
_atom_site_label
_atom_site_fract_x
_atom_site_fract_y
_atom_site_fract_z
Tb1 0.025 0.025 0.264
Tb2 0.188 0.188 0.781
Tb3 0.332 0.332 0.538
Tb4 0.407 0.407 0.035
Tb5 0.593 0.593 0.965
Tb6 0.668 0.668 0.462
Tb7 0.812 0.812 0.219
Tb8 0.975 0.975 0.736
Mg1 0.500 0.500 0.500
Cd1 0.188 0.188 0.202
Cd2 0.812 0.812 0.798
```

Principal peaks in the range 10 to 80 degrees two-theta, in order of rising 2θ:
2θ (°)  intensity
28.59  45
30.18  49
30.49  86
31.05  100
32.82  99
33.83  88
35.33  33
59.90  32

***

Record 4
The following is a calculated X-ray diffraction stick pattern of Sr2Cd2Pb. It was derived from a structure optimized by DFT (PBE), using Cu Ka.

Cell and atoms:
```
data_Sr2Cd2Pb
_chemical_formula_sum 'Sr4 Cd4 Pb2'
_space_group_name_H-M_alt 'P 1'
_space_group_IT_number 1
_cell_length_a 7.184
_cell_length_b 7.184
_cell_length_c 10.470
_cell_angle_alpha 109.41
_cell_angle_beta 109.41
_cell_angle_gamma 40.66
loop_
_space_group_symop_operation_xyz
'x,y,z'
loop_
_atom_site_label
_atom_site_fract_x
_atom_site_fract_y
_atom_site_fract_z
Sr1 0.112 0.112 0.392
Sr2 0.155 0.155 0.029
Sr3 0.845 0.845 0.971
Sr4 0.888 0.888 0.608
Cd1 0.410 0.410 0.357
Cd2 0.482 0.482 0.852
Cd3 0.518 0.518 0.148
Cd4 0.590 0.590 0.643
Pb1 0.230 0.230 0.736
Pb2 0.770 0.770 0.264
```

Principal peaks in the range 10 to 80 degrees two-theta, in order of rising 2θ:
2θ (°)  intensity
18.60  42
27.76  89
28.81  42
31.39  96
31.57  100
34.28  41
35.99  76
40.86  34

***

Record 5
The following is a calculated X-ray diffraction stick pattern of Rb3Pb5Au3. It was derived from a structure optimized by DFT (PBE), using Cu Ka.

Cell and atoms:
```
data_Rb3Pb5Au3
_chemical_formula_sum 'Rb3 Pb5 Au3'
_space_group_name_H-M_alt 'P 1'
_space_group_IT_number 1
_cell_length_a 9.036
_cell_length_b 9.036
_cell_length_c 6.708
_cell_angle_alpha 90.00
_cell_angle_beta 90.00
_cell_angle_gamma 120.00
loop_
_space_group_symop_operation_xyz
'x,y,z'
loop_
_atom_site_label
_atom_site_fract_x
_atom_site_fract_y
_atom_site_fract_z
Rb1 0.000 0.669 0.000
Rb2 0.331 0.331 0.000
Rb3 0.669 0.000 0.000
Pb1 0.000 0.272 0.500
Pb2 0.272 0.000 0.500
Pb3 0.333 0.667 0.500
Pb4 0.667 0.333 0.500
Pb5 0.728 0.728 0.500
Au1 0.000 0.629 0.500
Au2 0.371 0.371 0.500
Au3 0.629 0.000 0.500
```

Principal peaks in the range 10 to 80 degrees two-theta, in order of rising 2θ:
2θ (°)  intensity
13.20  100
26.58  40
30.22  19
33.10  31
34.38  41
36.98  30
40.67  17
43.97  42

***

Record 6
The following is a calculated X-ray diffraction stick pattern of Sm4DyTm7. It was derived from a structure optimized by DFT (PBE), using Cu Ka.

Cell and atoms:
```
data_Sm4DyTm7
_chemical_formula_sum 'Sm4 Dy1 Tm7'
_space_group_name_H-M_alt 'P 1'
_space_group_IT_number 1
_cell_length_a 6.513
_cell_length_b 6.782
_cell_length_c 8.963
_cell_angle_alpha 84.44
_cell_angle_beta 77.00
_cell_angle_gamma 81.03
loop_
_space_group_symop_operation_xyz
'x,y,z'
loop_
_atom_site_label
_atom_site_fract_x
_atom_site_fract_y
_atom_site_fract_z
Sm1 0.139 0.307 0.287
Sm2 0.334 0.884 0.691
Sm3 0.666 0.116 0.309
Sm4 0.861 0.693 0.713
Dy1 0.500 0.500 0.000
Tm1 0.013 0.252 0.952
Tm2 0.181 0.796 0.355
Tm3 0.313 0.394 0.617
Tm4 0.500 0.000 0.000
Tm5 0.687 0.606 0.383
Tm6 0.819 0.204 0.645
Tm7 0.987 0.748 0.048
```

Principal peaks in the range 10 to 80 degrees two-theta, in order of rising 2θ:
2θ (°)  intensity
30.78  43
31.34  46
31.91  67
32.02  58
32.27  100
44.02  14
45.98  14
46.60  16

***

Record 7
The following is a calculated X-ray diffraction stick pattern of RbZn4Ge4. It was derived from a structure optimized by DFT (PBE), using Cu Ka.

Cell and atoms:
```
data_RbZn4Ge4
_chemical_formula_sum 'Rb2 Zn8 Ge8'
_space_group_name_H-M_alt 'P 1'
_space_group_IT_number 1
_cell_length_a 6.509
_cell_length_b 6.509
_cell_length_c 9.126
_cell_angle_alpha 90.00
_cell_angle_beta 90.00
_cell_angle_gamma 90.00
loop_
_space_group_symop_operation_xyz
'x,y,z'
loop_
_atom_site_label
_atom_site_fract_x
_atom_site_fract_y
_atom_site_fract_z
Rb1 0.250 0.750 0.250
Rb2 0.750 0.250 0.750
Zn1 0.049 0.250 0.091
Zn2 0.250 0.049 0.591
Zn3 0.250 0.451 0.591
Zn4 0.451 0.250 0.091
Zn5 0.549 0.750 0.909
Zn6 0.750 0.549 0.409
Zn7 0.750 0.951 0.409
Zn8 0.951 0.750 0.909
Ge1 0.018 0.250 0.379
Ge2 0.250 0.018 0.879
Ge3 0.250 0.482 0.879
Ge4 0.482 0.250 0.379
Ge5 0.518 0.750 0.621
Ge6 0.750 0.518 0.121
Ge7 0.750 0.982 0.121
Ge8 0.982 0.750 0.621
```

Principal peaks in the range 10 to 80 degrees two-theta, in order of rising 2θ:
2θ (°)  intensity
32.28  100
32.49  49
39.15  35
43.01  21
44.03  19
51.75  38
56.56  19
56.82  33

***

Record 8
The following is a calculated X-ray diffraction stick pattern of Nd2CF. It was derived from a structure optimized by DFT (PBE), using Cu Ka.

Cell and atoms:
```
data_Nd2CF
_chemical_formula_sum 'Nd6 C3 F3'
_space_group_name_H-M_alt 'P 1'
_space_group_IT_number 1
_cell_length_a 3.704
_cell_length_b 3.704
_cell_length_c 18.801
_cell_angle_alpha 90.00
_cell_angle_beta 90.00
_cell_angle_gamma 120.00
loop_
_space_group_symop_operation_xyz
'x,y,z'
loop_
_atom_site_label
_atom_site_fract_x
_atom_site_fract_y
_atom_site_fract_z
Nd1 0.000 0.000 0.241
Nd2 0.000 0.000 0.759
Nd3 0.333 0.667 0.426
Nd4 0.333 0.667 0.907
Nd5 0.667 0.333 0.093
Nd6 0.667 0.333 0.574
C1 0.000 0.000 0.500
C2 0.333 0.667 0.167
C3 0.667 0.333 0.833
F1 0.000 0.000 0.000
F2 0.333 0.667 0.667
F3 0.667 0.333 0.333
```

Principal peaks in the range 10 to 80 degrees two-theta, in order of rising 2θ:
2θ (°)  intensity
28.48  31
29.42  97
33.83  100
47.99  31
49.19  36
57.83  27
58.36  15
61.04  17